1.
Diffraction record for Ga2Te5. The powder XRD pattern is calculated, not measured: it uses a cell relaxed with PBE and CuKα.
Lines closer than 0.1° are merged.

```
data_Ga2Te5
_chemical_formula_sum 'Ga4 Te10'
_symmetry_space_group_name_H-M 'I 4/m'
_symmetry_Int_Tables_number 87
_symmetry_space_group_name_Hall '-I 4'
_cell_length_a 8.205
_cell_length_b 8.205
_cell_length_c 6.972
_cell_angle_alpha 90.00
_cell_angle_beta 90.00
_cell_angle_gamma 90.00
loop_
_atom_site_label
_atom_site_fract_x
_atom_site_fract_y
_atom_site_fract_z
_atom_site_occupancy
Ga1 0.000 0.500 0.250 1
Te1 0.000 0.000 0.000 1
Te2 0.174 0.678 0.500 1
```

Most intense lines, 2θ = 10–90°, by angle:
- (0 0 2), d = 3.486 Å, I = 23
- (1 2 1), d = 3.247 Å, I = 100
- (2 2 0), d = 2.901 Å, I = 26
- (2 0 2), d = 2.656 Å, I = 21
- (3 1 2), d = 2.081 Å, I = 48
- (1 2 3), d = 1.963 Å, I = 24
- (4 1 1), d = 1.914 Å, I = 30
- (5 3 2), d = 1.304 Å, I = 23

---

2.
Diffraction record for TlGaTe2. The powder XRD pattern is calculated, not measured: it uses a cell relaxed with PBE and CuKα.
Lines closer than 0.1° are merged.

```
data_TlGaTe2
_chemical_formula_sum 'Tl4 Ga4 Te8'
_symmetry_space_group_name_H-M 'I 4/m c m'
_symmetry_Int_Tables_number 140
_symmetry_space_group_name_Hall '-I 4 2c'
_cell_length_a 8.662
_cell_length_b 8.662
_cell_length_c 6.935
_cell_angle_alpha 90.00
_cell_angle_beta 90.00
_cell_angle_gamma 90.00
loop_
_atom_site_label
_atom_site_fract_x
_atom_site_fract_y
_atom_site_fract_z
_atom_site_occupancy
Tl1 0.000 0.000 0.250 1
Ga1 0.000 0.500 0.250 1
Te1 0.167 0.333 0.000 1
```

Most intense lines, 2θ = 10–90°, by angle:
- (2 1 1), d = 3.382 Å, I = 78
- (2 2 0), d = 3.062 Å, I = 50
- (1 1 2), d = 3.017 Å, I = 29
- (3 1 0), d = 2.739 Å, I = 40
- (2 0 2), d = 2.707 Å, I = 100
- (4 2 0), d = 1.937 Å, I = 27
- (4 0 2), d = 1.837 Å, I = 31
- (3 3 2), d = 1.759 Å, I = 25